# 1
Rb2MgH8C2O10: computed powder diffraction line list (λ = 1.5418 Å (Cu Kα)), based on the GGA-PBE geometry in Alexandria.
Peak positions follow from Bragg's law for the DFT cell and can differ from measured ones.

```
46
Lattice="7.2171 0.0000 0.0000 0.0000 6.5055 0.0000 -5.4014 0.0000 11.1690" Properties=species:S:1:pos:R:3 pbc="T T T"
Rb 0.0088 1.0000 3.6270
Rb -2.6919 2.2528 9.2115
Rb 4.5076 4.2527 1.9575
Rb 1.8069 5.5055 7.5420
Mg 0.0000 0.0000 0.0000
Mg -2.7007 3.2528 5.5845
H -0.5265 4.2835 4.1278
H -3.2272 5.4747 9.7123
H -3.8322 4.6037 10.9871
H -1.1315 5.1545 5.4026
H -1.0790 1.1263 6.5710
H 1.6217 2.1264 0.9865
H 2.3956 0.7876 1.3548
H -0.3051 2.4651 6.9393
H 2.1208 4.0404 4.2297
H -0.5799 5.7179 9.8143
H 0.1940 4.3791 10.1825
H 2.8947 5.3792 4.5980
H 2.9472 1.3510 5.7665
H 5.6479 1.9018 0.1819
H 5.0430 1.0308 1.4567
H 2.3423 2.2220 7.0412
C 0.8398 4.2772 2.0150
C -1.8609 5.4811 7.5995
C 3.6766 1.0244 3.5695
C 0.9759 2.2283 9.1540
O -1.3710 4.5615 4.6094
O -4.0717 5.1968 10.1939
O -2.6320 4.5031 7.2454
O 0.0687 5.2552 1.6609
O 1.6519 1.1402 0.7877
O -1.0488 2.1125 6.3722
O 1.7098 3.7778 1.1733
O -0.9909 5.9805 6.7578
O 0.7529 3.7779 3.2148
O -1.9478 5.9803 8.7993
O 3.7635 0.5252 2.3697
O 1.0628 2.7276 7.9542
O 2.8066 0.5250 4.4112
O 0.1059 2.7278 9.9957
O 2.8645 4.3930 4.7969
O 0.1638 5.3653 10.3814
O 1.7470 1.2503 9.5081
O 4.4477 2.0024 3.9236
O 5.8874 1.3087 0.9751
O 3.1867 1.9440 6.5597
```

Top 8 peaks for 5° ≤ 2θ ≤ 70°, sorted by position:
2θ 18.47, intensity 21; 2θ 20.96, intensity 34; 2θ 27.45, intensity 48; 2θ 28.58, intensity 100; 2θ 28.77, intensity 24; 2θ 34.82, intensity 32; 2θ 34.97, intensity 31; 2θ 42.52, intensity 32

# 2
MgZnH12C4O12: computed powder diffraction line list (λ = 1.5418 Å (Cu Kα)), based on the GGA-PBE geometry in Alexandria.
Peak positions follow from Bragg's law for the DFT cell and can differ from measured ones.

```
60
Lattice="8.7003 0.0000 0.0000 0.0000 7.1619 0.0000 -1.3554 0.0000 9.4169" Properties=species:S:1:pos:R:3 pbc="T T T"
Mg 0.0000 0.0000 0.0000
Mg -0.6777 3.5809 4.7085
Zn 3.6724 0.0000 4.7085
Zn 4.3501 3.5809 0.0000
H 0.2516 1.4816 2.6117
H -0.4261 2.0993 7.3201
H 1.8022 4.3205 0.0449
H 1.1245 6.4223 4.7534
H 1.3134 0.8238 5.0847
H 1.9911 2.7572 0.3762
H 1.5883 4.3223 7.2278
H 2.2660 6.4205 2.5194
H 2.3332 3.8188 3.5756
H 1.6555 6.9240 8.2841
H 3.1053 4.6922 6.8596
H 3.7830 6.0505 2.1511
H 3.5618 1.1113 7.2658
H 4.2396 2.4696 2.5574
H 5.6893 0.2379 1.1329
H 5.0116 3.3430 5.8413
H 5.0789 0.7413 6.8976
H 5.7566 2.8396 2.1891
H 5.3538 4.4047 9.0407
H 6.0315 6.3381 4.3323
H 6.2204 0.7396 4.6636
H 5.5427 2.8413 9.3720
H 7.7710 5.0625 2.0968
H 7.0932 5.6803 6.8053
C -0.7548 5.1728 7.2884
C -0.0770 5.5700 2.5799
C 1.5707 0.7748 8.7212
C 2.2484 2.8061 4.0128
C 5.0965 4.3558 5.4042
C 5.7742 6.3870 0.6957
C 7.4219 1.5918 6.8370
C 8.0996 1.9891 2.1286
O 0.1843 5.2581 3.7851
O -0.4934 5.4846 8.4936
O -0.1015 4.3253 6.6050
O 0.5762 6.4174 1.8965
O 0.4906 1.0718 9.3375
O 1.1683 2.5092 4.6290
O 2.3191 3.6747 0.5989
O 1.6414 7.0681 5.3073
O 2.4812 4.4998 7.6164
O 3.1589 6.2430 2.9079
O 2.5561 1.5583 8.5590
O 3.2338 2.0226 3.8505
O 4.1111 5.1392 5.5665
O 4.7888 5.6036 0.8580
O 4.1859 0.9189 6.5090
O 4.8636 2.6620 1.8005
O 5.7035 0.0938 4.1096
O 5.0258 3.4872 8.8181
O 6.1766 4.6527 4.7880
O 6.8543 6.0901 0.0795
O 6.7687 0.7444 7.5205
O 7.4464 2.8365 2.8120
O 7.8383 1.6772 0.9234
O 7.1606 1.9037 5.6318
```

Top 8 peaks for 5° ≤ 2θ ≤ 70°, sorted by position:
2θ 17.90, intensity 100; 2θ 18.85, intensity 47; 2θ 19.40, intensity 71; 2θ 20.16, intensity 32; 2θ 20.63, intensity 30; 2θ 25.99, intensity 37; 2θ 33.71, intensity 41; 2θ 34.16, intensity 50